For SrCu2Sn2, a structure optimized by DFT (GGA-PBE) gives the calculated X-ray powder pattern in this record (Cu Kα (weighted mean of Kα1 and Kα2)).

Top 10 peaks for 10 to 90 degrees two-theta, by angle:
16.4 deg, 5.404 Å, intensity 27, hkl 2 0 0; 27.7 deg, 3.226 Å, intensity 49, hkl 1 1 -1; 31.0 deg, 2.886 Å, intensity 54, hkl 1 1 1; 32.3 deg, 2.769 Å, intensity 100, hkl 3 1 0; 32.9 deg, 2.721 Å, intensity 63, hkl 4 0 -1; 41.7 deg, 2.164 Å, intensity 48, hkl 0 2 0; 42.6 deg, 2.120 Å, intensity 34, hkl 1 1 -2; 44.7 deg, 2.029 Å, intensity 27, hkl 3 1 -2; 54.2 deg, 1.693 Å, intensity 32, hkl 4 2 -1; 61.1 deg, 1.516 Å, intensity 28, hkl 7 1 -1

```
SrCu2Sn2
1.0
11.337 0.000 0.000
0.000 4.327 0.000
-1.475 0.000 4.656
Sr Cu Sn
2 4 4
direct
0.000 0.000 0.000 Sr
0.500 0.500 0.000 Sr
0.239 0.500 0.137 Cu
0.261 0.000 0.863 Cu
0.739 0.000 0.137 Cu
0.761 0.500 0.863 Cu
0.145 0.500 0.573 Sn
0.355 0.000 0.427 Sn
0.645 0.000 0.573 Sn
0.855 0.500 0.427 Sn
```